No. 1
# NdSm2Au2
Simulated powder diffractogram, Cu Ka. Input: DFT lattice parameters and positions (PBE).

Principal peaks in the range 5 to 70 degrees two-theta, by angle:
- 31.43 deg, I = 155
- 33.24 deg, I = 1000
- 33.84 deg, I = 462
- 46.83 deg, I = 130
- 59.02 deg, I = 189
- 64.55 deg, I = 173

Crystal structure
```
NdSm2Au2
1.0
8.376 0.000 0.000
0.000 8.376 0.000
0.000 0.000 3.880
Nd Sm Au
2 4 4
Cartesian
0.000 0.000 0.000
4.188 4.188 0.000
1.373 2.816 1.940
2.816 7.004 1.940
5.561 1.373 1.940
7.004 5.561 1.940
1.080 5.268 0.000
3.108 1.080 0.000
5.268 7.296 0.000
7.296 3.108 0.000
```

---

No. 2
# ErPd6Pt23
Simulated powder diffractogram, Cu Ka. Input: DFT lattice parameters and positions (PBE).

Principal peaks in the range 5 to 70 degrees two-theta, by angle:
- 25.21 deg, I = 86
- 39.59 deg, I = 1000
- 45.83 deg, I = 332
- 46.44 deg, I = 157
- 66.82 deg, I = 108
- 67.30 deg, I = 207

Crystal structure
```
ErPd6Pt23
1.0
-3.960 3.960 7.821
3.960 -3.960 7.821
3.960 3.960 -7.821
Er Pd Pt
1 6 23
Cartesian
0.000 0.000 0.000
0.000 0.000 3.883
1.989 1.989 0.000
1.970 -1.970 7.821
-1.970 1.970 7.821
1.970 1.970 7.821
0.000 0.000 11.760
1.980 1.980 -3.911
1.980 -1.980 3.911
3.960 0.000 0.000
3.960 1.969 -2.003
2.060 0.000 2.040
3.960 -1.900 5.781
5.860 0.000 2.040
1.969 3.960 -2.003
1.991 0.000 5.819
3.960 1.969 2.003
0.000 2.060 2.040
-1.980 1.980 3.911
0.000 3.960 0.000
0.000 0.000 7.821
1.980 1.980 3.911
3.960 1.900 5.781
0.000 1.991 5.819
1.969 3.960 2.003
1.991 0.000 9.824
-1.900 3.960 5.781
0.000 5.860 2.040
1.900 3.960 5.781
0.000 1.991 9.824
```

---

No. 3
# RbNaNiBr4
Simulated powder diffractogram, Cu Ka. Input: DFT lattice parameters and positions (PBE).

Principal peaks in the range 5 to 70 degrees two-theta, by angle:
- 26.95 deg, I = 830
- 27.30 deg, I = 1000
- 27.58 deg, I = 517
- 30.38 deg, I = 983
- 36.92 deg, I = 671
- 37.43 deg, I = 530

Crystal structure
```
RbNaNiBr4
1.0
6.601 0.000 0.000
0.000 7.630 0.000
-2.756 0.000 9.243
Rb Na Ni Br
2 2 2 8
Cartesian
1.427 1.907 0.567
2.418 5.722 8.676
-0.326 1.907 4.791
4.171 5.722 4.452
0.698 5.722 2.900
3.147 1.907 6.343
-1.900 0.085 6.645
-1.900 3.730 6.645
1.933 5.722 0.864
1.289 5.722 5.189
2.556 1.907 4.054
1.912 1.907 8.379
5.745 3.900 2.598
5.745 7.545 2.598
```

---

No. 4
# InSiS4
Simulated powder diffractogram, Cu Ka. Input: DFT lattice parameters and positions (PBE).

Principal peaks in the range 5 to 70 degrees two-theta, by angle:
- 13.27 deg, I = 1000
- 31.98 deg, I = 184
- 32.75 deg, I = 402
- 39.93 deg, I = 203
- 40.40 deg, I = 227
- 51.34 deg, I = 130

Crystal structure
```
InSiS4
1.0
14.647 0.000 0.000
0.000 3.415 0.000
-2.559 0.000 5.646
In Si S
2 2 8
Cartesian
0.000 0.000 0.000
7.324 1.707 0.000
-1.280 1.707 2.823
6.044 0.000 2.823
-0.397 0.000 4.192
0.785 1.707 1.802
3.980 0.000 3.843
5.162 1.707 1.453
6.927 1.707 4.192
8.108 0.000 1.802
11.303 1.707 3.843
12.485 0.000 1.453
```